# 1
Simulated PXRD pattern
Compound: Tb4Sm3Bi4
Radiation: copper Kα
Structure: a PBE-relaxed structure
No peak broadening, texture or thermal motion is included.

Atomic structure:
```
data_Tb4Sm3Bi4
_chemical_formula_sum 'Tb8 Sm6 Bi8'
_symmetry_space_group_name_H-M 'I m m m'
_symmetry_Int_Tables_number 71
_symmetry_space_group_name_Hall '-I 2 2'
_cell_length_a 4.3465
_cell_length_b 4.5499
_cell_length_c 36.6102
_cell_angle_alpha 90.00
_cell_angle_beta 90.00
_cell_angle_gamma 90.00
loop_
_atom_site_label
_atom_site_type_symbol
_atom_site_fract_x
_atom_site_fract_y
_atom_site_fract_z
_atom_site_occupancy
Tb1 Tb 0.0000 0.0000 0.0981 1
Tb2 Tb 0.0000 0.5000 0.2498 1
Sm1 Sm 0.0000 0.0000 0.3421 1
Sm2 Sm 0.0000 0.5000 0.5000 1
Bi1 Bi 0.0000 0.0000 0.1842 1
Bi2 Bi 0.0000 0.5000 0.0431 1
```

Main lines, in order of falling intensity (2θ = 10–80°):
d = 2.972 Å, rel. 100, hkl 1 1 4
d = 2.686 Å, rel. 47, hkl 0 1 11
d = 2.275 Å, rel. 33, hkl 0 2 0
d = 2.173 Å, rel. 29, hkl 2 0 0
d = 2.363 Å, rel. 29, hkl 1 0 13
d = 3.343 Å, rel. 28, hkl 1 0 7
d = 2.385 Å, rel. 28, hkl 1 1 10
d = 4.316 Å, rel. 24, hkl 1 0 1
d = 1.690 Å, rel. 24, hkl 2 1 11
d = 3.033 Å, rel. 21, hkl 0 1 9



# 2
Simulated PXRD pattern
Compound: Tb3SmBi4
Radiation: copper Kα
Structure: a PBE-relaxed structure
No peak broadening, texture or thermal motion is included.

Atomic structure:
```
data_Tb3SmBi4
_chemical_formula_sum 'Tb3 Sm1 Bi4'
_symmetry_space_group_name_H-M 'P m -3 m'
_symmetry_Int_Tables_number 221
_symmetry_space_group_name_Hall '-P 4 2 3'
_cell_length_a 6.3731
_cell_length_b 6.3731
_cell_length_c 6.3731
_cell_angle_alpha 90.00
_cell_angle_beta 90.00
_cell_angle_gamma 90.00
loop_
_atom_site_label
_atom_site_type_symbol
_atom_site_fract_x
_atom_site_fract_y
_atom_site_fract_z
_atom_site_occupancy
Tb1 Tb 0.0000 0.0000 0.5000 1
Sm1 Sm 0.5000 0.5000 0.5000 1
Bi1 Bi 0.0000 0.0000 0.0000 1
Bi2 Bi 0.0000 0.5000 0.5000 1
```

Main lines, in order of falling intensity (2θ = 10–80°):
d = 3.187 Å, rel. 100, hkl 2 0 0
d = 2.253 Å, rel. 78, hkl 2 2 0
d = 1.425 Å, rel. 38, hkl 4 2 0
d = 1.840 Å, rel. 29, hkl 2 2 2
d = 1.301 Å, rel. 28, hkl 4 2 2
d = 1.593 Å, rel. 14, hkl 4 0 0
d = 3.680 Å, rel. 4, hkl 1 1 1
d = 1.922 Å, rel. 2, hkl 3 1 1
d = 1.462 Å, rel. 1, hkl 3 3 1
d = 1.227 Å, rel. 1, hkl 5 1 1